# Dy5YHo2In
Calculated powder diffractogram, Cu Kα X-rays. Input: DFT lattice parameters and positions (PBE).
No peak broadening, texture or thermal motion is included.

```
Dy5YHo2In
1.0
2.678 -9.953 0.000
2.678 9.953 0.000
0.000 0.000 10.557
Dy Y Ho In
10 2 4 2
Direct
0.000 0.000 0.000
0.000 0.000 0.500
0.116 0.884 0.750
0.210 0.790 0.049
0.210 0.790 0.451
0.487 0.513 0.750
0.513 0.487 0.250
0.790 0.210 0.549
0.790 0.210 0.951
0.884 0.116 0.250
0.294 0.706 0.750
0.706 0.294 0.250
0.384 0.616 0.043
0.384 0.616 0.457
0.616 0.384 0.543
0.616 0.384 0.957
0.095 0.905 0.250
0.905 0.095 0.750
```

Principal peaks in the range 15° ≤ 2θ ≤ 90°, by angle:
two_theta	Rel. int.
27.27	15
28.19	11
30.73	27
32.76	100
33.47	32
33.97	16
48.43	11
59.38	18
60.03	13
62.64	9


# Ce8HC3Br4
Calculated powder diffractogram, Cu Kα X-rays. Input: DFT lattice parameters and positions (PBE).
No peak broadening, texture or thermal motion is included.

```
Ce8HC3Br4
1.0
3.720 2.148 7.424
-3.720 2.148 7.424
0.000 -4.295 7.424
Ce H C Br
8 1 3 4
Direct
0.218 0.734 0.734
0.229 0.229 0.229
0.266 0.266 0.782
0.266 0.782 0.266
0.734 0.218 0.734
0.734 0.734 0.218
0.771 0.771 0.771
0.782 0.266 0.266
0.500 0.500 0.500
0.000 0.000 0.500
0.000 0.500 0.000
0.500 0.000 0.000
0.000 0.000 0.000
0.000 0.500 0.500
0.500 0.000 0.500
0.500 0.500 0.000
```

Principal peaks in the range 15° ≤ 2θ ≤ 90°, by angle:
two_theta	Rel. int.
27.98	16
28.85	38
32.10	100
34.35	47
36.30	25
42.93	20
48.97	38
59.77	16
61.25	26
62.47	31


# Na2AuF
Calculated powder diffractogram, Cu Kα X-rays. Input: DFT lattice parameters and positions (PBE).
No peak broadening, texture or thermal motion is included.

```
Na2AuF
1.0
2.933 0.000 0.000
0.000 2.933 0.000
0.000 0.000 7.465
Na Au F
2 1 1
Direct
0.000 0.000 0.188
0.000 0.000 0.812
0.500 0.500 0.500
0.500 0.500 0.000
```

Principal peaks in the range 15° ≤ 2θ ≤ 90°, by angle:
two_theta	Rel. int.
23.84	47
30.47	43
32.80	97
36.10	24
39.06	100
43.64	41
45.38	27
50.33	26
57.88	25
77.06	26


# Ba2Cu2O5
Calculated powder diffractogram, Cu Kα X-rays. Input: DFT lattice parameters and positions (PBE).
No peak broadening, texture or thermal motion is included.

```
Ba2Cu2O5
1.0
-2.879 8.006 2.890
2.879 -8.006 2.890
2.879 8.006 -2.890
Ba Cu O
4 4 10
Direct
0.124 0.007 0.117
0.391 0.007 0.383
0.609 0.993 0.617
0.876 0.993 0.883
0.000 0.500 0.500
0.293 0.543 0.750
0.500 0.500 0.000
0.707 0.457 0.250
0.101 0.461 0.639
0.253 0.000 0.753
0.253 0.500 0.253
0.322 0.461 0.861
0.500 0.000 0.000
0.500 0.500 0.500
0.678 0.539 0.139
0.747 0.000 0.247
0.747 0.500 0.747
0.899 0.539 0.361
```

Principal peaks in the range 15° ≤ 2θ ≤ 90°, by angle:
two_theta	Rel. int.
30.94	27
31.06	29
31.30	100
38.46	17
44.41	31
45.31	13
55.26	18
55.41	20
55.91	17
65.31	16


# Cd2SnRh3
Calculated powder diffractogram, Cu Kα X-rays. Input: DFT lattice parameters and positions (PBE).
No peak broadening, texture or thermal motion is included.

```
Cd2SnRh3
1.0
4.584 0.000 0.000
0.000 13.753 0.000
0.000 0.000 3.211
Cd Sn Rh
4 2 6
Direct
0.000 0.174 0.000
0.000 0.826 0.000
0.500 0.326 0.000
0.500 0.674 0.000
0.000 0.500 0.000
0.500 0.000 0.000
0.000 0.000 0.500
0.000 0.344 0.500
0.000 0.656 0.500
0.500 0.156 0.500
0.500 0.500 0.500
0.500 0.844 0.500
```

Principal peaks in the range 15° ≤ 2θ ≤ 90°, by angle:
two_theta	Rel. int.
38.16	1
39.31	50
39.50	100
56.80	16
57.38	8
71.39	31
71.77	16
75.15	1
84.54	5
85.04	10


# Sr6LiHg2
Calculated powder diffractogram, Cu Kα X-rays. Input: DFT lattice parameters and positions (PBE).
No peak broadening, texture or thermal motion is included.

```
Sr6LiHg2
1.0
-5.417 5.600 6.253
5.417 -5.600 6.253
5.417 5.600 -6.253
Sr Li Hg
12 2 4
Direct
0.048 0.243 0.805
0.180 0.289 0.469
0.180 0.711 0.891
0.338 0.026 0.689
0.338 0.649 0.311
0.438 0.243 0.195
0.562 0.757 0.805
0.662 0.351 0.689
0.662 0.974 0.311
0.820 0.289 0.109
0.820 0.711 0.531
0.952 0.757 0.195
0.000 0.000 0.000
0.500 0.500 0.000
0.131 0.631 0.500
0.313 0.000 0.313
0.687 0.000 0.687
0.869 0.369 0.500
```

Principal peaks in the range 15° ≤ 2θ ≤ 90°, by angle:
two_theta	Rel. int.
19.20	41
28.16	66
29.05	60
29.93	85
30.30	57
32.81	100
33.07	28
36.87	28
49.14	29
50.86	31


# Tb2Co5SiB2
Calculated powder diffractogram, Cu Kα X-rays. Input: DFT lattice parameters and positions (PBE).
No peak broadening, texture or thermal motion is included.

```
Tb2Co5SiB2
1.0
8.920 0.000 0.000
0.000 8.920 0.000
0.000 0.000 3.047
Tb Co Si B
4 10 2 4
Direct
0.178 0.322 0.000
0.322 0.822 0.000
0.678 0.178 0.000
0.822 0.678 0.000
0.000 0.500 0.500
0.067 0.778 0.500
0.222 0.067 0.500
0.278 0.567 0.500
0.433 0.278 0.500
0.500 0.000 0.500
0.567 0.722 0.500
0.722 0.433 0.500
0.778 0.933 0.500
0.933 0.222 0.500
0.000 0.000 0.000
0.500 0.500 0.000
0.118 0.618 0.000
0.382 0.118 0.000
0.618 0.882 0.000
0.882 0.382 0.000
```

Principal peaks in the range 15° ≤ 2θ ≤ 90°, by angle:
two_theta	Rel. int.
19.91	26
22.29	41
35.69	25
37.13	100
41.20	27
41.75	82
43.02	29
43.73	61
47.33	20
76.47	26


# Ca3Br5Cl
Calculated powder diffractogram, Cu Kα X-rays. Input: DFT lattice parameters and positions (PBE).
No peak broadening, texture or thermal motion is included.

```
Ca3Br5Cl
1.0
4.868 -14.243 0.000
4.868 14.243 0.000
0.000 0.000 4.362
Ca Br Cl
6 10 2
Direct
0.000 0.000 0.000
0.160 0.840 0.500
0.331 0.669 0.000
0.500 0.500 0.500
0.669 0.331 0.000
0.840 0.160 0.500
0.135 0.468 0.500
0.197 0.197 0.500
0.228 0.772 0.000
0.433 0.567 0.000
0.468 0.135 0.500
0.532 0.865 0.500
0.567 0.433 0.000
0.772 0.228 0.000
0.803 0.803 0.500
0.865 0.532 0.500
0.099 0.901 0.000
0.901 0.099 0.000
```

Principal peaks in the range 15° ≤ 2θ ≤ 90°, by angle:
two_theta	Rel. int.
18.69	40
26.22	35
27.45	100
27.77	98
29.08	41
29.68	33
35.76	43
36.26	27
41.39	33
45.09	78


# Sm6TlIn6
Calculated powder diffractogram, Cu Kα X-rays. Input: DFT lattice parameters and positions (PBE).
No peak broadening, texture or thermal motion is included.

```
Sm6TlIn6
1.0
6.446 0.000 0.000
-3.223 5.583 0.000
0.000 0.000 10.752
Sm Tl In
6 1 6
Direct
0.000 0.000 0.190
0.000 0.000 0.810
0.333 0.667 0.000
0.333 0.667 0.500
0.667 0.333 0.000
0.667 0.333 0.500
0.000 0.000 0.500
0.000 0.500 0.249
0.000 0.500 0.751
0.500 0.000 0.249
0.500 0.000 0.751
0.500 0.500 0.249
0.500 0.500 0.751
```

Principal peaks in the range 15° ≤ 2θ ≤ 90°, by angle:
two_theta	Rel. int.
27.68	72
29.62	35
32.07	54
32.39	86
33.33	47
36.26	100
52.00	23
57.16	41
58.97	35
67.80	35


# PuNiH8Rh2
Calculated powder diffractogram, Cu Kα X-rays. Input: DFT lattice parameters and positions (PBE).
No peak broadening, texture or thermal motion is included.

```
PuNiH8Rh2
1.0
2.293 1.324 5.498
-2.293 1.324 5.498
0.000 -2.647 5.498
Pu Ni H Rh
1 1 8 2
Direct
0.000 0.000 0.000
0.500 0.500 0.500
0.156 0.406 0.786
0.214 0.844 0.594
0.311 0.311 0.311
0.406 0.786 0.156
0.594 0.214 0.844
0.689 0.689 0.689
0.786 0.156 0.406
0.844 0.594 0.214
0.210 0.210 0.210
0.790 0.790 0.790
```

Principal peaks in the range 15° ≤ 2θ ≤ 90°, by angle:
two_theta	Rel. int.
23.04	60
31.27	100
35.37	57
39.30	83
51.06	26
51.94	24
53.90	18
60.81	20
65.18	19
66.27	23


# NdAg2BO4
Calculated powder diffractogram, Cu Kα X-rays. Input: DFT lattice parameters and positions (PBE).
No peak broadening, texture or thermal motion is included.

```
NdAg2BO4
1.0
5.900 0.000 0.000
0.000 5.900 0.000
0.000 0.000 5.867
Nd Ag B O
2 4 2 8
Direct
0.000 0.000 0.000
0.500 0.500 0.500
0.000 0.500 0.250
0.000 0.500 0.750
0.500 0.000 0.250
0.500 0.000 0.750
0.000 0.000 0.500
0.500 0.500 0.000
0.147 0.147 0.350
0.147 0.853 0.650
0.353 0.353 0.850
0.353 0.647 0.150
0.647 0.353 0.150
0.647 0.647 0.850
0.853 0.147 0.650
0.853 0.853 0.350
```

Principal peaks in the range 15° ≤ 2θ ≤ 90°, by angle:
two_theta	Rel. int.
21.35	39
30.30	83
37.37	32
37.48	100
43.38	34
48.84	13
58.63	63
71.52	16
71.88	15
75.69	12


# PaCo5H11
Calculated powder diffractogram, Cu Kα X-rays. Input: DFT lattice parameters and positions (PBE).
No peak broadening, texture or thermal motion is included.

```
PaCo5H11
1.0
3.945 -3.766 0.000
3.945 3.766 0.000
-2.300 0.000 3.956
Pa Co H
1 5 11
Direct
0.000 0.000 0.000
0.026 0.373 0.703
0.373 0.026 0.703
0.500 0.500 0.000
0.627 0.974 0.297
0.974 0.627 0.297
0.000 0.000 0.500
0.158 0.636 0.675
0.173 0.443 0.117
0.279 0.279 0.584
0.364 0.842 0.325
0.443 0.173 0.117
0.557 0.827 0.883
0.636 0.158 0.675
0.721 0.721 0.416
0.827 0.557 0.883
0.842 0.364 0.325
```

Principal peaks in the range 15° ≤ 2θ ≤ 90°, by angle:
two_theta	Rel. int.
17.54	100
22.47	33
32.83	61
33.56	35
34.25	57
35.51	74
36.30	28
39.54	48
41.04	51
42.84	32